Calculated powder diffraction line list of PmTc2Ge2P for Cu Kα (weighted mean of Kα1 and Kα2), from a cell relaxed with GGA-PBE.

Main lines, in order of rising 2θ (2θ = 10–90°):
2θ 25.52, 3.491 Å, intensity 13, (1 0 1); 2θ 32.56, 2.750 Å, intensity 100, (1 1 1); 2θ 37.93, 2.372 Å, intensity 58, (1 0 2); 2θ 40.40, 2.233 Å, intensity 66, (2 0 0); 2θ 56.62, 1.626 Å, intensity 35, (2 1 2); 2θ 58.46, 1.579 Å, intensity 22, (2 2 0); 2θ 68.54, 1.369 Å, intensity 23, (3 1 1); 2θ 81.09, 1.186 Å, intensity 15, (2 0 4)

Structure:
```
PmTc2Ge2P
1.0
4.465 0.000 0.000
0.000 4.465 0.000
0.000 0.000 5.599
Pm Tc Ge P
1 2 2 1
Direct
0.000 0.000 0.000
0.000 0.500 0.500
0.500 0.000 0.500
0.500 0.500 0.224
0.500 0.500 0.776
0.000 0.000 0.500
```